The following is a computed X-ray diffraction stick pattern of Rb2VTcF6. It was derived from a structure optimized by DFT (GGA+U), using Cu Kα, 1.54184 Å.
Intensities are scaled so that the largest is 100.

Peak list (10 most intense, 2θ from 5° to 70°, low angle first)
2θ = 17.9°, d 4.943, rel. 9; 2θ = 29.4°, d 3.039, rel. 100; 2θ = 29.7°, d 3.004, rel. 48; 2θ = 36.3°, d 2.472, rel. 14; 2θ = 41.5°, d 2.174, rel. 23; 2θ = 42.6°, d 2.124, rel. 42; 2θ = 51.9°, d 1.761, rel. 20; 2θ = 52.6°, d 1.741, rel. 39; 2θ = 61.0°, d 1.519, rel. 26; 2θ = 61.8°, d 1.502, rel. 13

Structural model:
abc: 6.079 6.079 6.079
angles: 120.77 120.77 88.67
Element x y z (fractional)
Rb: 0.250 0.750 0.500
Rb: 0.750 0.250 0.500
V: 0.000 0.000 0.000
Tc: 0.500 0.500 0.000
F: 0.243 0.243 0.000
F: 0.249 0.249 0.497
F: 0.249 0.751 0.000
F: 0.751 0.249 0.000
F: 0.751 0.751 0.503
F: 0.757 0.757 0.000